Diffraction record for CoSi3P3. The PXRD pattern is computed, not measured: it uses a cell relaxed with GGA-PBE and Cu Kα, 1.54184 Å.
Lines closer than 0.1° are merged.

Principal peaks in the range 10° ≤ 2θ ≤ 90°, most intense first:
| Position (°2θ) | I_rel |
| --- | --- |
| 30.3 | 100.0 |
| 31.4 | 94.9 |
| 31.9 | 76.6 |
| 55.1 | 72.6 |
| 35.6 | 44.2 |
| 16.5 | 44.2 |
| 20.9 | 43.9 |
| 53.8 | 33.0 |
| 51.1 | 32.8 |
| 52.5 | 30.4 |

Structural model:
```
data_CoSi3P3
_space_group_name_H-M_alt 'P 1 21 1'
_space_group_IT_number 4
_space_group_name_Hall 'P 2yb'
_cell_length_a 5.907
_cell_length_b 5.704
_cell_length_c 12.760
_cell_angle_alpha 90.00
_cell_angle_beta 90.11
_cell_angle_gamma 90.00
loop_
_atom_site_label
_atom_site_type_symbol
_atom_site_fract_x
_atom_site_fract_y
_atom_site_fract_z
_atom_site_occupancy
Co1 Co 0.006 0.000 0.379 1
Co2 Co 0.482 0.932 0.886 1
Si1 Si 0.064 0.463 0.927 1
Si2 Si 0.079 0.632 0.455 1
Si3 Si 0.173 0.495 0.180 1
Si4 Si 0.361 0.049 0.427 1
Si5 Si 0.373 0.030 0.723 1
Si6 Si 0.472 0.063 0.172 1
P1 P 0.026 0.873 0.674 1
P2 P 0.125 0.859 0.926 1
P3 P 0.131 0.890 0.220 1
P4 P 0.347 0.424 0.680 1
P5 P 0.415 0.302 0.951 1
P6 P 0.438 0.448 0.427 1
```

Diffraction record for SmCo5P3. The PXRD pattern is computed, not measured: it uses a cell relaxed with GGA-PBE and Cu Kα, 1.54184 Å.
Lines closer than 0.1° are merged.

Principal peaks in the range 10° ≤ 2θ ≤ 90°, most intense first:
| Position (°2θ) | I_rel |
| --- | --- |
| 39.0 | 100.0 |
| 39.2 | 68.7 |
| 49.7 | 37.8 |
| 40.3 | 26.3 |
| 53.8 | 21.1 |
| 37.8 | 19.0 |
| 26.9 | 17.8 |
| 76.2 | 14.6 |
| 30.1 | 14.3 |
| 35.6 | 14.0 |

Structural model:
```
data_SmCo5P3
_space_group_name_H-M_alt 'P n m a'
_space_group_IT_number 62
_space_group_name_Hall '-P 2ac 2n'
_cell_length_a 11.772
_cell_length_b 3.669
_cell_length_c 10.330
_cell_angle_alpha 90.00
_cell_angle_beta 90.00
_cell_angle_gamma 90.00
loop_
_atom_site_label
_atom_site_type_symbol
_atom_site_fract_x
_atom_site_fract_y
_atom_site_fract_z
_atom_site_occupancy
Sm1 Sm 0.202 0.250 0.083 1
Co1 Co 0.009 0.750 0.714 1
Co2 Co 0.011 0.750 0.094 1
Co3 Co 0.068 0.750 0.468 1
Co4 Co 0.176 0.250 0.779 1
Co5 Co 0.198 0.250 0.382 1
P1 P 0.108 0.750 0.896 1
P2 P 0.111 0.250 0.582 1
P3 P 0.130 0.750 0.273 1
```